(1)
Diffraction record for CuAg. The XRD peak list is computed, not measured: it uses a DFT-relaxed cell (GGA-PBE, OQMD) and λ = 1.5418 Å (Cu Kα).

```
data_CuAg
_symmetry_space_group_name_H-M 'P 1'
_symmetry_Int_Tables_number 1
_cell_length_a 21.9890
_cell_length_b 21.9890
_cell_length_c 21.9890
_cell_angle_alpha 7.33
_cell_angle_beta 7.33
_cell_angle_gamma 7.33
loop_
_symmetry_equiv_pos_as_xyz
'x,y,z'
loop_
_atom_site_label
_atom_site_fract_x
_atom_site_fract_y
_atom_site_fract_z
Cu1 0.0000 0.0000 0.0000
Cu2 0.0879 0.0879 0.0879
Cu3 0.3920 0.3920 0.3920
Cu4 0.6958 0.6958 0.6958
Cu5 0.8958 0.8958 0.8958
Ag1 0.1963 0.1963 0.1963
Ag2 0.2999 0.2999 0.2999
Ag3 0.4922 0.4922 0.4922
Ag4 0.5955 0.5955 0.5955
Ag5 0.7879 0.7879 0.7879
```

Peak list (10 most intense, 2θ from 10° to 90°, in order of rising 2θ)
d/Å	I (rel.)
2.436	12
2.283	100
2.193	18
2.061	11
1.957	50
1.436	9
1.405	21
1.197	11
1.183	13
1.142	8

=====

(2)
Diffraction record for Er2Tm3Mg3. The XRD peak list is computed, not measured: it uses a DFT-relaxed cell (GGA-PBE, OQMD) and λ = 1.5418 Å (Cu Kα).

```
data_Er2Tm3Mg3
_symmetry_space_group_name_H-M 'P 1'
_symmetry_Int_Tables_number 1
_cell_length_a 6.8387
_cell_length_b 6.8387
_cell_length_c 5.5265
_cell_angle_alpha 90.00
_cell_angle_beta 90.00
_cell_angle_gamma 120.00
loop_
_symmetry_equiv_pos_as_xyz
'x,y,z'
loop_
_atom_site_label
_atom_site_fract_x
_atom_site_fract_y
_atom_site_fract_z
Er1 0.0000 0.0000 0.0000
Er2 0.3333 0.6667 0.5000
Tm1 0.0029 0.5014 0.0000
Tm2 0.4986 0.5014 0.0000
Tm3 0.4986 0.9971 0.0000
Mg1 0.3416 0.1708 0.5000
Mg2 0.8292 0.1708 0.5000
Mg3 0.8292 0.6584 0.5000
```

Peak list (10 most intense, 2θ from 10° to 90°, in order of rising 2θ)
d/Å	I (rel.)
5.527	28
2.961	36
2.763	24
2.610	100
2.020	25
1.710	18
1.564	21
1.454	21
1.430	16
1.097	14

=====

(3)
Diffraction record for MgCdHgSe3. The XRD peak list is computed, not measured: it uses a DFT-relaxed cell (GGA-PBE, OQMD) and λ = 1.5418 Å (Cu Kα).

```
data_MgCdHgSe3
_symmetry_space_group_name_H-M 'P 1'
_symmetry_Int_Tables_number 1
_cell_length_a 6.9406
_cell_length_b 6.9406
_cell_length_c 11.6303
_cell_angle_alpha 90.00
_cell_angle_beta 90.00
_cell_angle_gamma 147.80
loop_
_symmetry_equiv_pos_as_xyz
'x,y,z'
loop_
_atom_site_label
_atom_site_fract_x
_atom_site_fract_y
_atom_site_fract_z
Mg1 0.2219 0.7781 0.7500
Mg2 0.7781 0.2219 0.2500
Cd1 0.0000 0.0000 0.0000
Cd2 0.0000 0.0000 0.5000
Hg1 0.4901 0.5099 0.2500
Hg2 0.5099 0.4901 0.7500
Se1 0.1339 0.8661 0.2500
Se2 0.3605 0.6395 0.0759
Se3 0.3605 0.6395 0.4241
Se4 0.6395 0.3605 0.5759
Se5 0.6395 0.3605 0.9241
Se6 0.8661 0.1339 0.7500
```

Peak list (10 most intense, 2θ from 10° to 90°, in order of rising 2θ)
d/Å	I (rel.)
6.668	67
3.352	18
3.121	29
2.908	21
2.665	20
2.602	100
2.192	13
2.051	28
1.926	24
1.717	16

=====

(4)
Diffraction record for HoZrCSe. The XRD peak list is computed, not measured: it uses a DFT-relaxed cell (GGA-PBE, OQMD) and λ = 1.5418 Å (Cu Kα).

```
data_HoZrCSe
_symmetry_space_group_name_H-M 'P 1'
_symmetry_Int_Tables_number 1
_cell_length_a 3.5797
_cell_length_b 3.5797
_cell_length_c 13.0144
_cell_angle_alpha 90.00
_cell_angle_beta 90.00
_cell_angle_gamma 120.00
loop_
_symmetry_equiv_pos_as_xyz
'x,y,z'
loop_
_atom_site_label
_atom_site_fract_x
_atom_site_fract_y
_atom_site_fract_z
Ho1 0.3333 0.6667 0.0000
Ho2 0.6667 0.3333 0.5000
Zr1 0.3333 0.6667 0.6964
Zr2 0.6667 0.3333 0.1964
C1 0.0000 0.0000 0.1074
C2 0.0000 0.0000 0.6074
Se1 0.3333 0.6667 0.3420
Se2 0.6667 0.3333 0.8420
```

Peak list (10 most intense, 2θ from 10° to 90°, in order of rising 2θ)
d/Å	I (rel.)
3.100	27
3.016	12
2.522	100
2.169	11
1.790	26
1.777	11
1.460	18
1.381	16
1.310	8
1.131	16

=====

(5)
Diffraction record for DyHo6Te2Ir2. The XRD peak list is computed, not measured: it uses a DFT-relaxed cell (GGA-PBE, OQMD) and λ = 1.5418 Å (Cu Kα).

```
data_DyHo6Te2Ir2
_symmetry_space_group_name_H-M 'P 1'
_symmetry_Int_Tables_number 1
_cell_length_a 9.3627
_cell_length_b 9.3627
_cell_length_c 9.3627
_cell_angle_alpha 155.79
_cell_angle_beta 66.25
_cell_angle_gamma 119.39
loop_
_symmetry_equiv_pos_as_xyz
'x,y,z'
loop_
_atom_site_label
_atom_site_fract_x
_atom_site_fract_y
_atom_site_fract_z
Dy1 0.0000 0.0000 0.0000
Ho1 0.0566 0.3720 0.6846
Ho2 0.0851 0.7315 0.3536
Ho3 0.3778 0.7315 0.6464
Ho4 0.4507 0.5824 0.8683
Ho5 0.6874 0.3720 0.3154
Ho6 0.7141 0.5824 0.1317
Te1 0.3370 0.3370 0.0000
Te2 0.7356 0.2356 0.5000
Ir1 0.3095 0.0717 0.2378
Ir2 0.8340 0.0717 0.7622
```

Peak list (10 most intense, 2θ from 10° to 90°, in order of rising 2θ)
d/Å	I (rel.)
7.841	23
2.977	18
2.965	36
2.698	43
2.662	100
2.615	47
2.457	22
2.344	26
1.963	32
1.587	18

=====

(6)
Diffraction record for Hf2Fe3Bi2. The XRD peak list is computed, not measured: it uses a DFT-relaxed cell (GGA-PBE, OQMD) and λ = 1.5418 Å (Cu Kα).

```
data_Hf2Fe3Bi2
_symmetry_space_group_name_H-M 'P 1'
_symmetry_Int_Tables_number 1
_cell_length_a 7.6124
_cell_length_b 7.6124
_cell_length_c 7.6124
_cell_angle_alpha 33.80
_cell_angle_beta 33.80
_cell_angle_gamma 33.80
loop_
_symmetry_equiv_pos_as_xyz
'x,y,z'
loop_
_atom_site_label
_atom_site_fract_x
_atom_site_fract_y
_atom_site_fract_z
Hf1 0.0000 0.0000 0.0000
Hf2 0.4948 0.4948 0.4948
Fe1 0.1258 0.1258 0.1258
Fe2 0.6193 0.6193 0.6193
Fe3 0.8737 0.8737 0.8737
Bi1 0.2524 0.2524 0.2524
Bi2 0.7446 0.7446 0.7446
```

Peak list (10 most intense, 2θ from 10° to 90°, in order of rising 2θ)
d/Å	I (rel.)
3.121	97
2.213	100
2.201	96
1.805	22
1.561	32
1.399	19
1.393	18
1.277	17
1.275	33
1.269	15

=====

(7)
Diffraction record for AgPO6. The XRD peak list is computed, not measured: it uses a DFT-relaxed cell (GGA-PBE, OQMD) and λ = 1.5418 Å (Cu Kα).

```
data_AgPO6
_symmetry_space_group_name_H-M 'P 1'
_symmetry_Int_Tables_number 1
_cell_length_a 5.0729
_cell_length_b 5.0729
_cell_length_c 5.0729
_cell_angle_alpha 60.00
_cell_angle_beta 60.00
_cell_angle_gamma 60.00
loop_
_symmetry_equiv_pos_as_xyz
'x,y,z'
loop_
_atom_site_label
_atom_site_fract_x
_atom_site_fract_y
_atom_site_fract_z
Ag1 0.0000 0.0000 0.0000
P1 0.7500 0.7500 0.7500
O1 0.5228 0.5228 0.9772
O2 0.5228 0.9772 0.5228
O3 0.5228 0.9772 0.9772
O4 0.9772 0.5228 0.5228
O5 0.9772 0.5228 0.9772
O6 0.9772 0.9772 0.5228
```

Peak list (10 most intense, 2θ from 10° to 90°, in order of rising 2θ)
d/Å	I (rel.)
4.142	100
2.536	35
2.163	46
2.071	30
1.794	24
1.646	18
1.464	12
1.381	15
1.268	12
1.213	14

=====

(8)
Diffraction record for CuB4Sb. The XRD peak list is computed, not measured: it uses a DFT-relaxed cell (GGA-PBE, OQMD) and λ = 1.5418 Å (Cu Kα).

```
data_CuB4Sb
_symmetry_space_group_name_H-M 'P 1'
_symmetry_Int_Tables_number 1
_cell_length_a 4.9605
_cell_length_b 4.9605
_cell_length_c 4.9605
_cell_angle_alpha 143.94
_cell_angle_beta 115.07
_cell_angle_gamma 76.58
loop_
_symmetry_equiv_pos_as_xyz
'x,y,z'
loop_
_atom_site_label
_atom_site_fract_x
_atom_site_fract_y
_atom_site_fract_z
Cu1 0.0000 0.0000 0.0000
B1 0.0760 0.7412 0.3348
B2 0.4064 0.7412 0.6652
B3 0.5936 0.2588 0.3348
B4 0.9240 0.2588 0.6652
Sb1 0.5000 0.5000 0.0000
```

Peak list (10 most intense, 2θ from 10° to 90°, in order of rising 2θ)
d/Å	I (rel.)
4.396	13
3.893	43
2.661	63
2.197	100
1.947	16
1.571	25
1.536	17
1.429	15
1.259	15
1.206	16

=====

(9)
Diffraction record for K2P2Au3N. The XRD peak list is computed, not measured: it uses a DFT-relaxed cell (GGA-PBE, OQMD) and λ = 1.5418 Å (Cu Kα).

```
data_K2P2Au3N
_symmetry_space_group_name_H-M 'P 1'
_symmetry_Int_Tables_number 1
_cell_length_a 6.3968
_cell_length_b 6.3968
_cell_length_c 6.7956
_cell_angle_alpha 120.56
_cell_angle_beta 120.56
_cell_angle_gamma 77.01
loop_
_symmetry_equiv_pos_as_xyz
'x,y,z'
loop_
_atom_site_label
_atom_site_fract_x
_atom_site_fract_y
_atom_site_fract_z
K1 0.1403 0.1403 0.3753
K2 0.8597 0.8597 0.6247
P1 0.2443 0.5216 0.0618
P2 0.4784 0.7557 0.9382
Au1 0.3582 0.6418 0.5000
Au2 0.4502 0.1586 0.9975
Au3 0.8414 0.5498 0.0025
N1 0.2619 0.7381 0.0000
```

Peak list (10 most intense, 2θ from 10° to 90°, in order of rising 2θ)
d/Å	I (rel.)
5.503	58
5.167	84
4.973	96
3.154	100
3.022	65
2.854	44
2.751	61
2.583	86
2.507	30
1.860	29

=====

(10)
Diffraction record for ZnH6Os. The XRD peak list is computed, not measured: it uses a DFT-relaxed cell (GGA-PBE, OQMD) and λ = 1.5418 Å (Cu Kα).

```
data_ZnH6Os
_symmetry_space_group_name_H-M 'P 1'
_symmetry_Int_Tables_number 1
_cell_length_a 3.0324
_cell_length_b 4.8891
_cell_length_c 4.9748
_cell_angle_alpha 102.60
_cell_angle_beta 106.88
_cell_angle_gamma 108.04
loop_
_symmetry_equiv_pos_as_xyz
'x,y,z'
loop_
_atom_site_label
_atom_site_fract_x
_atom_site_fract_y
_atom_site_fract_z
Zn1 0.0000 0.0000 0.0000
H1 0.0268 0.4258 0.7637
H2 0.3268 0.5826 0.2251
H3 0.3960 0.1057 0.7151
H4 0.6166 0.6041 0.7161
H5 0.7522 0.2876 0.2668
H6 0.9791 0.7932 0.2827
Os1 0.7256 0.4505 0.9951
```

Peak list (10 most intense, 2θ from 10° to 90°, in order of rising 2θ)
d/Å	I (rel.)
4.479	100
4.374	21
3.848	15
2.829	17
2.813	17
2.660	15
2.295	16
2.240	16
2.167	22
1.951	17

=====

(11)
Diffraction record for Zr2S3I. The XRD peak list is computed, not measured: it uses a DFT-relaxed cell (GGA-PBE, OQMD) and λ = 1.5418 Å (Cu Kα).

```
data_Zr2S3I
_symmetry_space_group_name_H-M 'P 1'
_symmetry_Int_Tables_number 1
_cell_length_a 3.7003
_cell_length_b 6.4258
_cell_length_c 13.6034
_cell_angle_alpha 90.00
_cell_angle_beta 90.00
_cell_angle_gamma 90.00
loop_
_symmetry_equiv_pos_as_xyz
'x,y,z'
loop_
_atom_site_label
_atom_site_fract_x
_atom_site_fract_y
_atom_site_fract_z
Zr1 0.0000 0.0136 0.0000
Zr2 0.0000 0.4586 0.4993
Zr3 0.5000 0.5414 0.9993
Zr4 0.5000 0.9864 0.5000
S1 0.0000 0.1391 0.6107
S2 0.0000 0.6963 0.8896
S3 0.0000 0.7995 0.3997
S4 0.5000 0.2005 0.8997
S5 0.5000 0.3037 0.3896
S6 0.5000 0.8609 0.1107
I1 0.0000 0.3644 0.1484
I2 0.5000 0.6356 0.6484
```

Peak list (10 most intense, 2θ from 10° to 90°, in order of rising 2θ)
d/Å	I (rel.)
6.802	100
5.810	14
3.124	41
2.902	60
2.619	100
2.335	21
2.075	35
1.852	26
1.850	14
1.837	28

=====

(12)
Diffraction record for TbTaFe. The XRD peak list is computed, not measured: it uses a DFT-relaxed cell (GGA-PBE, OQMD) and λ = 1.5418 Å (Cu Kα).

```
data_TbTaFe
_symmetry_space_group_name_H-M 'P 1'
_symmetry_Int_Tables_number 1
_cell_length_a 4.4139
_cell_length_b 4.4139
_cell_length_c 4.4139
_cell_angle_alpha 60.00
_cell_angle_beta 60.00
_cell_angle_gamma 60.00
loop_
_symmetry_equiv_pos_as_xyz
'x,y,z'
loop_
_atom_site_label
_atom_site_fract_x
_atom_site_fract_y
_atom_site_fract_z
Tb1 0.0000 0.0000 0.0000
Ta1 0.5000 0.5000 0.5000
Fe1 0.7500 0.7500 0.7500
```

Peak list (10 most intense, 2θ from 10° to 90°, in order of rising 2θ)
d/Å	I (rel.)
3.604	7
3.121	63
2.207	100
1.882	3
1.802	18
1.561	17
1.432	1
1.396	24
1.274	34
1.103	11

=====

(13)
Diffraction record for Zn2SiH2O5. The XRD peak list is computed, not measured: it uses a DFT-relaxed cell (GGA-PBE, OQMD) and λ = 1.5418 Å (Cu Kα).

```
data_Zn2SiH2O5
_symmetry_space_group_name_H-M 'P 1'
_symmetry_Int_Tables_number 1
_cell_length_a 8.8164
_cell_length_b 10.5431
_cell_length_c 5.0131
_cell_angle_alpha 90.00
_cell_angle_beta 90.00
_cell_angle_gamma 90.00
loop_
_symmetry_equiv_pos_as_xyz
'x,y,z'
loop_
_atom_site_label
_atom_site_fract_x
_atom_site_fract_y
_atom_site_fract_z
Zn1 0.1416 0.1360 0.0000
Zn2 0.2337 0.8349 0.9909
Zn3 0.2663 0.3349 0.4909
Zn4 0.3584 0.6360 0.5000
Zn5 0.6416 0.3640 0.5000
Zn6 0.7337 0.6651 0.4909
Zn7 0.7663 0.1651 0.9909
Zn8 0.8584 0.8640 0.0000
Si1 0.0527 0.7916 0.5031
Si2 0.4473 0.2916 0.0031
Si3 0.5527 0.7084 0.0031
Si4 0.9473 0.2084 0.5031
H1 0.0292 0.5703 0.0276
H2 0.2278 0.9901 0.0222
H3 0.2722 0.4901 0.5222
H4 0.4708 0.0703 0.5276
H5 0.5292 0.9297 0.5276
H6 0.7278 0.5099 0.5222
H7 0.7722 0.0099 0.0222
H8 0.9708 0.4297 0.0276
O1 0.0000 0.0000 0.7247
O2 0.0000 0.5000 0.9117
O3 0.0405 0.7759 0.1811
O4 0.1097 0.2283 0.6479
O5 0.1130 0.9466 0.5496
O6 0.1918 0.7256 0.6612
O7 0.3082 0.2256 0.1612
O8 0.3870 0.4466 0.0496
O9 0.3903 0.7283 0.1479
O10 0.4595 0.2759 0.6811
O11 0.5000 0.0000 0.4117
O12 0.5000 0.5000 0.2247
O13 0.5405 0.7241 0.6811
O14 0.6097 0.2717 0.1479
O15 0.6130 0.5534 0.0496
O16 0.6918 0.7744 0.1612
O17 0.8082 0.2744 0.6612
O18 0.8870 0.0534 0.5496
O19 0.8903 0.7717 0.6479
O20 0.9595 0.2241 0.1811
```

Peak list (10 most intense, 2θ from 10° to 90°, in order of rising 2θ)
d/Å	I (rel.)
6.763	100
5.272	69
4.527	35
3.265	26
3.158	44
2.878	68
2.803	37
2.507	37
2.465	49
2.410	38